Structure and computed X-ray diffraction stick pattern of YZr2Te (a cell relaxed with PBE; Cu Kα, 1.54184 Å).

Main lines, by angle (10 to 90 degrees two-theta):
h k l, Position (°2θ), intensity
1 1 1, 34.1, 100
0 0 2, 35.7, 22
0 2 0, 39.9, 16
2 0 0, 42.9, 13
0 2 2, 54.6, 13
2 0 2, 57.0, 11
1 1 3, 63.1, 16
1 3 1, 68.7, 12
2 2 2, 71.8, 11
3 1 1, 72.9, 10

Structure:
Lattice parameters (Å, degrees): 4.2191 4.5193 5.0347 90.00 90.00 90.00
Space group Pmmm (No. 47)
Symmetry-distinct sites (fractional):
Y: 0.0000 0.0000 0.0000 x1
Zr: 0.0000 0.5000 0.5000 x1
Zr: 0.5000 0.0000 0.5000 x1
Te: 0.5000 0.5000 0.0000 x1